(1)
Diffraction record for CaTaF6. The powder XRD pattern is calculated, not measured: it uses a PBE-relaxed structure and copper Kα.
No peak broadening, texture or thermal motion is included.

Largest 6 diffraction maxima, in order of rising 2θ, 2θ = 10–90°:
Position (°2θ), d [Å], I_rel
16.46, 5.386, 46
19.33, 4.593, 64
20.97, 4.237, 71
23.45, 3.793, 100
27.38, 3.257, 59
40.93, 2.205, 47

Structure:
```
8
Lattice="2.779 -4.237 0.000 2.779 4.237 0.000 -0.999 0.000 5.386" Properties=species:S:1:pos:R:3 pbc="T T T"
Ca 0.000 0.000 0.000
Ta 2.280 0.000 2.693
F 1.350 1.257 1.382
F 0.692 0.000 3.820
F 1.350 -1.257 1.382
F 3.209 1.257 4.004
F 3.867 0.000 1.566
F 3.209 -1.257 4.004
```

(2)
Diffraction record for SrHg5Pd. The powder XRD pattern is calculated, not measured: it uses a PBE-relaxed structure and copper Kα.
No peak broadening, texture or thermal motion is included.

Largest 6 diffraction maxima, in order of rising 2θ, 2θ = 10–90°:
Position (°2θ), d [Å], I_rel
28.24, 3.160, 30
35.00, 2.564, 100
36.57, 2.457, 59
51.85, 1.763, 22
52.68, 1.737, 21
64.82, 1.438, 34

Structure:
```
7
Lattice="4.914 0.000 0.000 0.000 4.914 0.000 0.000 0.000 7.596" Properties=species:S:1:pos:R:3 pbc="T T T"
Sr 0.000 0.000 0.000
Hg 0.000 2.457 2.286
Hg 0.000 2.457 5.310
Hg 2.457 0.000 2.286
Hg 2.457 0.000 5.310
Hg 2.457 2.457 0.000
Pd 0.000 0.000 3.798
```

(3)
Diffraction record for KY2HgSe4. The powder XRD pattern is calculated, not measured: it uses a PBE-relaxed structure and copper Kα.
No peak broadening, texture or thermal motion is included.

Largest 6 diffraction maxima, in order of rising 2θ, 2θ = 10–90°:
Position (°2θ), d [Å], I_rel
13.74, 6.445, 75
22.72, 3.914, 23
28.93, 3.086, 23
30.66, 2.916, 100
42.21, 2.141, 42
42.84, 2.111, 23

Structure:
```
16
Lattice="2.111 -7.097 0.000 2.111 7.097 0.000 0.000 0.000 15.391" Properties=species:S:1:pos:R:3 pbc="T T T"
K 2.111 5.234 11.543
K 2.111 -5.234 3.848
Y 2.111 1.772 8.673
Y 2.111 1.772 14.413
Y 2.111 -1.772 0.977
Y 2.111 -1.772 6.718
Hg 2.111 4.759 3.848
Hg 2.111 -4.759 11.543
Se 0.000 0.000 0.000
Se 0.000 0.000 7.695
Se 2.111 3.371 1.471
Se 2.111 3.371 6.224
Se 2.111 0.599 11.543
Se 2.111 -0.599 3.848
Se 2.111 -3.371 9.167
Se 2.111 -3.371 13.919
```

(4)
Diffraction record for Na11Ca. The powder XRD pattern is calculated, not measured: it uses a PBE-relaxed structure and copper Kα.
No peak broadening, texture or thermal motion is included.

Largest 6 diffraction maxima, in order of rising 2θ, 2θ = 10–90°:
Position (°2θ), d [Å], I_rel
28.82, 3.097, 30
29.82, 2.996, 100
30.11, 2.968, 55
42.89, 2.109, 19
53.11, 1.724, 19
59.71, 1.549, 24

Structure:
```
12
Lattice="11.986 0.000 0.000 -5.993 10.380 0.000 0.000 0.000 3.618" Properties=species:S:1:pos:R:3 pbc="T T T"
Na -2.996 5.190 0.000
Na 0.000 3.549 1.809
Na -2.919 8.605 1.809
Na 0.000 6.920 0.000
Na 3.074 1.775 1.809
Na 5.993 0.000 0.000
Na 2.996 5.190 0.000
Na 2.919 8.605 1.809
Na 5.993 3.460 0.000
Na 8.912 1.775 1.809
Na 5.993 6.831 1.809
Ca 0.000 0.000 0.000
```